# 1
For RbLaAs2Pt4, a cell relaxed with GGA-PBE gives the simulated PXRD pattern in this record (Cu Kα, 1.54184 Å).
Lines closer than 0.1° are merged.

Lattice parameters (Å, degrees): 4.0954 4.0954 11.5771 90.00 90.00 90.00
Atoms (fractional coordinates):
Rb1 0.0000 0.0000 0.0000
La1 0.0000 0.0000 0.5000
As1 0.5000 0.5000 0.1842
As2 0.5000 0.5000 0.8158
Pt1 0.0000 0.5000 0.3038
Pt2 0.0000 0.5000 0.6962
Pt3 0.5000 0.0000 0.3038
Pt4 0.5000 0.0000 0.6962

Principal peaks in the range 2θ = 5–70°, most intense first:
38.9 deg, 2.316 Å, intensity 100.0
34.6 deg, 2.590 Å, intensity 84.2
7.6 deg, 11.577 Å, intensity 73.5
15.3 deg, 5.789 Å, intensity 67.1
44.2 deg, 2.048 Å, intensity 54.8
50.5 deg, 1.809 Å, intensity 54.4
26.7 deg, 3.343 Å, intensity 35.4
23.0 deg, 3.859 Å, intensity 29.3
47.1 deg, 1.930 Å, intensity 24.4
30.9 deg, 2.895 Å, intensity 24.4



# 2
For TiAlZnTc, a cell relaxed with GGA-PBE gives the simulated PXRD pattern in this record (Cu Kα, 1.54184 Å).
Lines closer than 0.1° are merged.

Lattice parameters (Å, degrees): 3.2117 3.2117 5.8683 90.00 90.00 90.00
Atoms (fractional coordinates):
Ti1 0.0000 0.0000 0.0000
Al1 0.0000 0.0000 0.5313
Zn1 0.5000 0.5000 0.2823
Tc1 0.5000 0.5000 0.7839

Principal peaks in the range 2θ = 5–70°, most intense first:
41.7 deg, 2.166 Å, intensity 100.0
39.7 deg, 2.271 Å, intensity 59.3
27.8 deg, 3.212 Å, intensity 24.2
57.4 deg, 1.606 Å, intensity 19.2
15.1 deg, 5.868 Å, intensity 11.5
30.5 deg, 2.934 Å, intensity 10.8
50.8 deg, 1.796 Å, intensity 10.4
63.4 deg, 1.467 Å, intensity 6.3
66.4 deg, 1.409 Å, intensity 4.5
64.9 deg, 1.436 Å, intensity 4.4